1.
Simulated PXRD pattern
Compound: Ac2Pd4Au5
Radiation: Cu Kα, 1.54184 Å
Structure: a crystal structure in Alexandria, relaxed with PBE

The 6 most intense peaks (10 to 80 degrees two-theta), in order of falling intensity:
37.67 deg, rel. 100, hkl 2 2 0
38.50 deg, rel. 62, hkl 1 2 3
38.89 deg, rel. 44, hkl 0 4 0
27.17 deg, rel. 42, hkl 0 2 2
55.21 deg, rel. 37, hkl 2 4 2
26.80 deg, rel. 28, hkl 1 2 1

Structural model:
Lattice parameters (Å, degrees): 5.570 9.264 9.302 90.00 90.00 90.00
Space group Immm (No. 71)
Inequivalent atoms, fractional coordinates:
Ac: 0.000 0.247 0.000 [4 per cell]
Pd: 0.000 0.250 0.336 [8 per cell]
Au: 0.000 0.500 0.500 [2 per cell]
Au: 0.248 0.000 0.269 [8 per cell]

---

2.
Simulated PXRD pattern
Compound: BaNpSc2O8
Radiation: Cu Kα, 1.54184 Å
Structure: a crystal structure in Alexandria, relaxed with PBE

The 6 most intense peaks (10 to 80 degrees two-theta), in order of falling intensity:
30.05 deg, rel. 100, hkl 1 2 0
17.89 deg, rel. 73, hkl 1 0 0
25.15 deg, rel. 69, hkl 1 0 -1
25.65 deg, rel. 56, hkl 1 0 1
47.47 deg, rel. 41, hkl 2 2 -1
48.04 deg, rel. 37, hkl 2 2 1

Structural model:
Lattice parameters (Å, degrees): 4.957 7.433 4.962 90.00 91.10 90.00
Space group P2/m (No. 10)
Inequivalent atoms, fractional coordinates:
Ba: 0.000 0.000 0.000 [1 per cell]
Np: 0.000 0.500 0.000 [1 per cell]
Sc: 0.500 0.293 0.500 [2 per cell]
O: 0.199 0.299 0.197 [4 per cell]
O: 0.307 0.500 0.691 [2 per cell]
O: 0.392 0.000 0.605 [2 per cell]

---

3.
Simulated PXRD pattern
Compound: LuIn3
Radiation: Cu Kα, 1.54184 Å
Structure: a crystal structure in Alexandria, relaxed with PBE

The 6 most intense peaks (10 to 80 degrees two-theta), in order of falling intensity:
34.60 deg, rel. 100, hkl 1 2 1
33.23 deg, rel. 35, hkl 0 4 0
37.44 deg, rel. 32, hkl 0 2 2
60.26 deg, rel. 20, hkl 1 6 1
30.23 deg, rel. 19, hkl 1 0 1
68.27 deg, rel. 16, hkl 1 4 3

Structural model:
Lattice parameters (Å, degrees): 3.543 10.785 5.366 90.00 90.00 90.00
Space group Imm2 (No. 44)
Inequivalent atoms, fractional coordinates:
Lu: 0.000 0.000 0.000 [2 per cell]
In: 0.000 0.253 0.349 [4 per cell]
In: 0.000 0.500 0.990 [2 per cell]

---

4.
Simulated PXRD pattern
Compound: TaSe2Cl5
Radiation: Cu Kα, 1.54184 Å
Structure: a crystal structure in Alexandria, relaxed with PBE

The 6 most intense peaks (10 to 80 degrees two-theta), in order of falling intensity:
18.74 deg, rel. 100, hkl 1 0 1
22.78 deg, rel. 90, hkl 2 2 0
36.14 deg, rel. 81, hkl 2 4 0
15.90 deg, rel. 80, hkl 0 2 0
16.21 deg, rel. 74, hkl 2 0 0
11.33 deg, rel. 37, hkl 1 1 0

Structural model:
Lattice parameters (Å, degrees): 10.938 11.149 5.247 90.00 90.00 90.00
Space group Imm2 (No. 44)
Inequivalent atoms, fractional coordinates:
Ta: 0.000 0.000 0.000 [2 per cell]
Se: 0.000 0.500 0.153 [2 per cell]
Se: 0.000 0.500 0.728 [2 per cell]
Cl: 0.000 0.000 0.427 [2 per cell]
Cl: 0.147 0.145 0.916 [8 per cell]

---

5.
Simulated PXRD pattern
Compound: Pm2PaO6
Radiation: Cu Kα, 1.54184 Å
Structure: a crystal structure in Alexandria, relaxed with PBE

The 6 most intense peaks (10 to 80 degrees two-theta), in order of falling intensity:
24.01 deg, rel. 100, hkl 1 1 0
29.96 deg, rel. 94, hkl 1 0 3
46.10 deg, rel. 73, hkl 2 1 3
34.21 deg, rel. 28, hkl 2 0 0
58.64 deg, rel. 21, hkl 3 0 3
56.50 deg, rel. 19, hkl 1 1 6

Structural model:
Lattice parameters (Å, degrees): 5.243 5.243 10.880 90.00 90.00 90.00
Space group P4_2/mnm (No. 136)
Inequivalent atoms, fractional coordinates:
Pm: 0.000 0.000 0.166 [4 per cell]
Pa: 0.000 0.000 0.500 [2 per cell]
O: 0.184 0.184 0.345 [8 per cell]
O: 0.206 0.206 0.000 [4 per cell]

---

6.
Simulated PXRD pattern
Compound: Ac2La3Dy6
Radiation: Cu Kα, 1.54184 Å
Structure: a crystal structure in Alexandria, relaxed with PBE

The 6 most intense peaks (10 to 80 degrees two-theta), in order of falling intensity:
30.06 deg, rel. 100, hkl 1 3 1
34.88 deg, rel. 100, hkl 2 0 2
30.12 deg, rel. 98, hkl 2 0 -2
59.58 deg, rel. 64, hkl 4 0 0
50.10 deg, rel. 36, hkl 0 6 0
50.21 deg, rel. 35, hkl 1 3 5

Structural model:
Lattice parameters (Å, degrees): 6.302 10.933 12.041 90.00 100.06 90.00
Space group C2/m (No. 12)
Inequivalent atoms, fractional coordinates:
Ac: 0.000 0.167 0.000 [4 per cell]
La: 0.000 0.000 0.500 [2 per cell]
La: 0.000 0.335 0.500 [4 per cell]
Dy: 0.247 0.500 0.744 [4 per cell]
Dy: 0.248 0.166 0.744 [8 per cell]

---

7.
Simulated PXRD pattern
Compound: TmBe17Ni
Radiation: Cu Kα, 1.54184 Å
Structure: a crystal structure in Alexandria, relaxed with PBE

The 6 most intense peaks (10 to 80 degrees two-theta), in order of falling intensity:
23.83 deg, rel. 100, hkl 1 1 0
34.49 deg, rel. 96, hkl 1 1 3
15.95 deg, rel. 92, hkl 1 0 1
21.35 deg, rel. 67, hkl 0 1 2
49.18 deg, rel. 49, hkl 3 0 3
41.91 deg, rel. 35, hkl 3 0 0

Structural model:
Lattice parameters (Å, degrees): 7.4667 7.4667 10.8750 90.00 90.00 120.00
Space group R3m (No. 160, hexagonal axes)
Inequivalent atoms, fractional coordinates:
Tm: 0.0000 0.0000 0.0000 [3 per cell]
Be: 0.0000 0.0000 0.5569 [3 per cell]
Be: 0.0000 0.0000 0.7517 [3 per cell]
Be: 0.0427 0.3676 0.3233 [18 per cell]
Be: 0.1705 0.3409 0.8348 [9 per cell]
Be: 0.1719 0.3438 0.4937 [9 per cell]
Be: 0.1766 0.3532 0.1398 [9 per cell]
Ni: 0.0000 0.0000 0.3434 [3 per cell]

---

8.
Simulated PXRD pattern
Compound: LiZn6Fe
Radiation: Cu Kα, 1.54184 Å
Structure: a crystal structure in Alexandria, relaxed with PBE

The 6 most intense peaks (10 to 80 degrees two-theta), in order of falling intensity:
43.81 deg, rel. 100, hkl 1 2 2
43.10 deg, rel. 59, hkl 0 2 4
41.86 deg, rel. 40, hkl 0 4 0
38.24 deg, rel. 31, hkl 1 0 2
13.79 deg, rel. 24, hkl 0 1 1
57.98 deg, rel. 17, hkl 1 4 2

Structural model:
Lattice parameters (Å, degrees): 2.700 8.633 9.608 90.00 90.00 90.00
Space group Amm2 (No. 38)
Inequivalent atoms, fractional coordinates:
Li: 0.000 0.000 0.000 [2 per cell]
Zn: 0.000 0.249 0.663 [4 per cell]
Zn: 0.500 0.000 0.263 [2 per cell]
Zn: 0.500 0.000 0.751 [2 per cell]
Zn: 0.500 0.242 0.422 [4 per cell]
Fe: 0.000 0.000 0.509 [2 per cell]

---

9.
Simulated PXRD pattern
Compound: La3Pr2Nd6
Radiation: Cu Kα, 1.54184 Å
Structure: a crystal structure in Alexandria, relaxed with PBE

The 6 most intense peaks (10 to 80 degrees two-theta), in order of falling intensity:
29.50 deg, rel. 100, hkl 0 1 2
34.30 deg, rel. 45, hkl 1 1 -3
58.50 deg, rel. 38, hkl 3 0 -4
29.52 deg, rel. 33, hkl 1 2 -1
49.08 deg, rel. 33, hkl 1 3 1
34.01 deg, rel. 23, hkl 2 0 1

Structural model:
Lattice parameters (Å, degrees): 6.438 8.270 8.274 107.41 97.09 104.94
Space group P-1 (No. 2)
Inequivalent atoms, fractional coordinates:
La: 0.000 0.000 0.000 [1 per cell]
La: 0.091 0.364 0.819 [2 per cell]
Pr: 0.273 0.092 0.456 [2 per cell]
Nd: 0.182 0.727 0.638 [2 per cell]
Nd: 0.363 0.455 0.275 [2 per cell]
Nd: 0.455 0.819 0.091 [2 per cell]

---

10.
Simulated PXRD pattern
Compound: Ac6CoNiAu2
Radiation: Cu Kα, 1.54184 Å
Structure: a crystal structure in Alexandria, relaxed with PBE

The 6 most intense peaks (10 to 80 degrees two-theta), in order of falling intensity:
26.52 deg, rel. 100, hkl 0 0 6
35.37 deg, rel. 39, hkl 2 -1 6
40.19 deg, rel. 30, hkl 3 0 0
27.95 deg, rel. 20, hkl 2 0 2
46.91 deg, rel. 19, hkl 1 1 9
32.00 deg, rel. 18, hkl 0 2 4

Structural model:
Lattice parameters (Å, degrees): 7.7736 7.7736 20.1052 90.00 90.00 120.00
Space group R3 (No. 146, hexagonal axes)
Inequivalent atoms, fractional coordinates:
Ac: 0.0528 0.3352 0.0000 [9 per cell]
Ac: 0.0561 0.7100 0.5015 [9 per cell]
Co: 0.0000 0.0000 0.9227 [3 per cell]
Ni: 0.0000 0.0000 0.4222 [3 per cell]
Au: 0.0000 0.0000 0.2245 [3 per cell]
Au: 0.0000 0.0000 0.7232 [3 per cell]